LiAc2F6: calculated powder XRD pattern (λ = 1.5418 Å (Cu Kα)), based on DFT lattice parameters and positions (GGA-PBE).
No peak broadening, texture or thermal motion is included.

Structural model:
Cell lengths 4.0467, 5.9379, 12.7317 Å; angles 90.00, 90.00, 90.00 degrees
Space group Immm (No. 71)
One atom of each set of equivalent atoms:
Li: 0.0000 0.0000 0.0000 (multiplicity 2)
Ac: 0.0000 0.0000 0.3513 (multiplicity 4)
F: 0.0000 0.2413 0.1780 (multiplicity 8)
F: 0.0000 0.2801 0.5000 (multiplicity 4)

Top 8 peaks for 2θ from 15° to 90°, sorted by position:
index, d/Å, intensity
0 1 1, 5.381, 95
1 0 1, 3.857, 50
0 1 3, 3.453, 100
1 1 0, 3.344, 100
0 2 0, 2.965, 34
1 1 4, 2.306, 51
1 2 3, 2.085, 79
0 3 3, 1.793, 37

Li2AcF7: calculated powder XRD pattern (λ = 1.5418 Å (Cu Kα)), based on DFT lattice parameters and positions (GGA-PBE).
No peak broadening, texture or thermal motion is included.

Structural model:
Cell lengths 6.3682, 10.4820, 3.8458 Å; angles 90.00, 90.00, 90.00 degrees
Space group Cmmm (No. 65)
One atom of each set of equivalent atoms:
Li: 0.0000 0.2023 0.0000 (multiplicity 4)
Ac: 0.0000 0.5000 0.5000 (multiplicity 2)
F: 0.0000 0.0000 0.0000 (multiplicity 2)
F: 0.0000 0.2538 0.5000 (multiplicity 4)
F: 0.2022 0.3809 0.0000 (multiplicity 8)

Top 8 peaks for 2θ from 15° to 90°, sorted by position:
index, d/Å, intensity
1 1 0, 5.443, 100
0 2 0, 5.241, 38
1 1 1, 3.141, 60
2 0 1, 2.453, 26
1 3 1, 2.396, 34
0 4 1, 2.166, 20
2 4 0, 2.023, 20
3 1 1, 1.830, 20

LiAcNF: calculated powder XRD pattern (λ = 1.5418 Å (Cu Kα)), based on DFT lattice parameters and positions (GGA-PBE).
No peak broadening, texture or thermal motion is included.

Structural model:
Cell lengths 3.5669, 3.9684, 4.4337 Å; angles 90.00, 90.00, 90.00 degrees
Space group Pmmm (No. 47)
One atom of each set of equivalent atoms:
Li: 0.0000 0.0000 0.0000 (multiplicity 1)
Ac: 0.5000 0.5000 0.5000 (multiplicity 1)
N: 0.0000 0.0000 0.5000 (multiplicity 1)
F: 0.0000 0.5000 0.0000 (multiplicity 1)

Top 8 peaks for 2θ from 15° to 90°, sorted by position:
index, d/Å, intensity
0 0 1, 4.434, 99
0 1 0, 3.968, 84
1 0 0, 3.567, 43
0 1 1, 2.957, 60
1 0 1, 2.779, 76
1 1 0, 2.653, 60
1 1 1, 2.276, 100
1 1 2, 1.701, 33